# Pm4Nd6Pu
Theoretical PXRD pattern, Cu Ka. Input: a DFT-relaxed cell (GGA-PBE, Alexandria).
Kinematic intensities with the Lorentz-polarization factor, no thermal factor.

Structure:
Cell lengths 3.617, 23.835, 17.840 Å; angles 90.00, 90.00, 90.00 degrees
Space group Cmcm (No. 63)
Asymmetric unit:
Pm (0.000, 0.119, 0.141)
Pm (0.000, 0.370, 0.051)
Nd (0.000, 0.000, 0.000)
Nd (0.000, 0.254, 0.250)
Nd (0.000, 0.259, 0.582)
Nd (0.000, 0.489, 0.162)
Pu (0.000, 0.123, 0.750)

Principal peaks in the range 10° ≤ 2θ ≤ 90°, low angle first:
h k l	two_theta	d (Å)	I (rel.)
0 2 5	26.07	3.418	36
1 3 2	28.91	3.088	42
0 8 0	29.99	2.979	56
0 2 6	31.04	2.882	100
1 5 2	32.66	2.742	26
0 6 5	33.79	2.653	37
1 5 3	34.59	2.593	42
0 6 6	37.79	2.380	14
2 0 0	50.47	1.808	15
2 8 0	59.81	1.546	19

# Y3Se2N
Theoretical PXRD pattern, Cu Ka. Input: a DFT-relaxed cell (GGA-PBE, Alexandria).
Kinematic intensities with the Lorentz-polarization factor, no thermal factor.

Structure:
Cell lengths 3.901, 3.901, 16.885 Å; angles 90.00, 90.00, 90.00 degrees
Space group I4/mmm (No. 139)
Asymmetric unit:
Y (0.000, 0.000, 0.000)
Y (0.000, 0.000, 0.365)
Se (0.000, 0.000, 0.172)
N (0.000, 0.000, 0.500)

Principal peaks in the range 10° ≤ 2θ ≤ 90°, low angle first:
h k l	two_theta	d (Å)	I (rel.)
0 0 6	31.80	2.814	29
1 1 0	32.46	2.758	100
1 0 5	35.15	2.553	53
1 1 6	46.08	1.970	40
2 0 0	46.57	1.950	35
2 0 6	57.49	1.603	20
2 1 5	59.66	1.550	23
1 0 11	65.33	1.428	19
3 1 0	77.37	1.233	16
2 1 11	83.98	1.152	19

# Ac2Tb5Sm12
Theoretical PXRD pattern, Cu Ka. Input: a DFT-relaxed cell (GGA-PBE, Alexandria).
Kinematic intensities with the Lorentz-polarization factor, no thermal factor.

Structure:
Cell lengths 8.840, 8.843, 9.551 Å; angles 70.22, 69.84, 82.80 degrees
Space group P-1 (No. 2)
Asymmetric unit:
Ac (0.235, 0.265, 0.499)
Tb (0.194, 0.691, 0.259)
Tb (0.311, 0.810, 0.830)
Tb (0.500, 0.000, 0.000)
Sm (0.067, 0.052, 0.300)
Sm (0.076, 0.578, 0.724)
Sm (0.108, 0.173, 0.924)
Sm (0.327, 0.392, 0.073)
Sm (0.373, 0.872, 0.443)
Sm (0.444, 0.436, 0.697)

Principal peaks in the range 10° ≤ 2θ ≤ 90°, low angle first:
h k l	two_theta	d (Å)	I (rel.)
1 0 -2	26.43	3.372	13
2 1 3	30.27	2.953	23
2 -2 0	30.58	2.923	52
1 1 -2	31.01	2.883	34
1 3 1	31.18	2.868	100
2 0 3	31.96	2.800	28
0 2 3	32.08	2.790	28
1 -3 2	44.00	2.058	11
-3 1 2	44.23	2.048	11
-1 5 1	54.72	1.677	22

# Nd6Mg5Ag
Theoretical PXRD pattern, Cu Ka. Input: a DFT-relaxed cell (GGA-PBE, Alexandria).
Kinematic intensities with the Lorentz-polarization factor, no thermal factor.

Structure:
Cell lengths 5.461, 16.390, 7.735 Å; angles 90.00, 90.00, 90.00 degrees
Space group Cmmm (No. 65)
Asymmetric unit:
Nd (0.000, 0.000, 0.246)
Nd (0.000, 0.336, 0.251)
Mg (0.000, 0.168, 0.500)
Mg (0.000, 0.173, 0.000)
Mg (0.000, 0.500, 0.500)
Ag (0.000, 0.500, 0.000)

Principal peaks in the range 10° ≤ 2θ ≤ 90°, low angle first:
h k l	two_theta	d (Å)	I (rel.)
1 3 0	23.02	3.864	39
2 0 0	32.78	2.732	100
2 0 2	40.43	2.231	12
0 0 4	47.03	1.932	18
3 3 0	52.99	1.728	17
3 3 2	58.51	1.578	37
4 0 0	68.71	1.366	11
3 3 4	73.51	1.288	6
1 3 6	78.22	1.222	13
4 0 4	87.44	1.115	4

# La3Pm7Tm2
Theoretical PXRD pattern, Cu Ka. Input: a DFT-relaxed cell (GGA-PBE, Alexandria).
Kinematic intensities with the Lorentz-polarization factor, no thermal factor.

Structure:
Cell lengths 6.6471, 6.6471, 34.2901 Å; angles 90.00, 90.00, 120.00 degrees
Space group R-3m (No. 166, hexagonal axes)
Asymmetric unit:
La (0.0000, 0.0000, 0.0000)
La (0.0000, 0.0000, 0.1539)
Pm (0.0000, 0.0000, 0.5000)
Pm (0.0024, 0.5012, 0.9171)
Tm (0.0000, 0.0000, 0.3336)

Principal peaks in the range 10° ≤ 2θ ≤ 90°, low angle first:
h k l	two_theta	d (Å)	I (rel.)
1 0 1	15.61	5.677	12
1 1 0	26.82	3.324	16
1 1 6	31.14	2.872	100
0 0 12	31.30	2.858	28
2 0 5	33.77	2.654	20
3 0 6	50.15	1.819	22
2 2 0	55.28	1.662	19
2 0 17	55.62	1.652	18
2 2 12	64.91	1.437	23
4 1 6	77.86	1.227	12

# CsNaIn
Theoretical PXRD pattern, Cu Ka. Input: a DFT-relaxed cell (GGA-PBE, Alexandria).
Kinematic intensities with the Lorentz-polarization factor, no thermal factor.

Structure:
Cell lengths 9.004, 5.163, 13.944 Å; angles 90.00, 102.26, 90.00 degrees
Space group Cm (No. 8)
Asymmetric unit:
Cs (0.000, 0.000, 0.000)
Cs (0.217, 0.000, 0.668)
Na (0.399, 0.000, 0.215)
Na (0.477, 0.000, 0.453)
In (0.104, 0.000, 0.334)
In (0.271, 0.500, 0.334)

Principal peaks in the range 10° ≤ 2θ ≤ 90°, low angle first:
h k l	two_theta	d (Å)	I (rel.)
0 0 3	19.55	4.542	100
1 1 0	19.91	4.459	78
1 1 1	21.63	4.108	51
1 1 -2	22.65	3.925	30
1 1 -3	26.48	3.366	39
1 1 3	29.56	3.022	47
3 1 -1	34.57	2.595	65
0 2 0	34.78	2.579	47
3 1 2	40.02	2.253	63
0 2 3	40.17	2.245	36

# Na5B7C3
Theoretical PXRD pattern, Cu Ka. Input: a DFT-relaxed cell (GGA-PBE, Alexandria).
Kinematic intensities with the Lorentz-polarization factor, no thermal factor.

Structure:
Cell lengths 4.935, 7.632, 9.103 Å; angles 107.81, 90.90, 106.21 degrees
Space group P-1 (No. 2)
Asymmetric unit:
Na (0.000, 0.000, 0.000)
Na (0.099, 0.200, 0.499)
Na (0.203, 0.401, 0.002)
Na (0.298, 0.597, 0.497)
Na (0.394, 0.798, 0.001)
Na (0.500, 0.000, 0.500)
B (0.019, 0.694, 0.750)
B (0.187, 0.698, 0.249)
B (0.230, 0.114, 0.749)
B (0.288, 0.886, 0.749)
B (0.342, 0.306, 0.250)
B (0.348, 0.075, 0.251)
B (0.394, 0.490, 0.751)
C (0.063, 0.488, 0.752)
C (0.105, 0.895, 0.251)
C (0.478, 0.298, 0.751)

Principal peaks in the range 10° ≤ 2θ ≤ 90°, low angle first:
h k l	two_theta	d (Å)	I (rel.)
1 2 -1	34.88	2.572	16
2 -1 0	36.41	2.467	22
1 2 1	40.87	2.208	64
0 0 4	41.96	2.153	51
1 -3 3	42.19	2.142	100
2 -1 2	42.26	2.138	33
0 5 -2	63.47	1.466	12
3 1 -1	63.63	1.462	11
1 -3 7	76.80	1.241	13
0 5 2	79.10	1.211	11

# P4S6O3
Theoretical PXRD pattern, Cu Ka. Input: a DFT-relaxed cell (GGA-PBE, Alexandria).
Kinematic intensities with the Lorentz-polarization factor, no thermal factor.

Structure:
Cell lengths 6.961, 13.206, 7.894 Å; angles 90.00, 104.83, 90.00 degrees
Space group P2_1/m (No. 11)
Asymmetric unit:
P (0.180, 0.137, 0.322)
P (0.192, 0.750, 0.546)
P (0.295, 0.250, 0.659)
S (0.013, 0.250, 0.707)
S (0.120, 0.621, 0.682)
S (0.282, 0.031, 0.211)
S (0.493, 0.750, 0.135)
O (0.199, 0.250, 0.241)
O (0.297, 0.154, 0.529)

Principal peaks in the range 10° ≤ 2θ ≤ 90°, low angle first:
h k l	two_theta	d (Å)	I (rel.)
0 0 1	11.60	7.631	79
0 2 0	13.41	6.604	66
1 1 0	14.77	5.996	39
1 1 -1	16.59	5.343	35
1 0 1	19.70	4.507	25
1 2 -1	20.29	4.376	38
0 3 1	23.33	3.814	100
2 1 -1	26.95	3.309	33
2 2 -1	29.43	3.035	24
1 5 -2	41.79	2.162	22

# CuAs4S3Cl
Theoretical PXRD pattern, Cu Ka. Input: a DFT-relaxed cell (GGA-PBE, Alexandria).
Kinematic intensities with the Lorentz-polarization factor, no thermal factor.

Structure:
Cell lengths 11.611, 11.728, 7.393 Å; angles 90.00, 90.00, 90.00 degrees
Space group Pbcm (No. 57)
Asymmetric unit:
Cu (0.170, 0.250, 0.000)
As (0.134, 0.550, 0.080)
As (0.255, 0.693, 0.250)
As (0.398, 0.082, 0.750)
S (0.269, 0.085, 0.514)
S (0.430, 0.607, 0.250)
Cl (0.041, 0.234, 0.250)

Principal peaks in the range 10° ≤ 2θ ≤ 90°, low angle first:
h k l	two_theta	d (Å)	I (rel.)
2 0 0	15.26	5.806	23
1 1 1	16.10	5.506	100
1 0 2	25.28	3.522	18
1 1 2	26.42	3.373	25
3 1 1	27.09	3.291	14
2 3 0	27.51	3.243	53
4 2 0	34.43	2.605	33
2 1 3	40.50	2.227	33
0 4 3	48.22	1.887	14
7 0 0	55.43	1.658	18

# Sm5Ag2Ru2
Theoretical PXRD pattern, Cu Ka. Input: a DFT-relaxed cell (GGA-PBE, Alexandria).
Kinematic intensities with the Lorentz-polarization factor, no thermal factor.

Structure:
Cell lengths 15.488, 7.715, 7.808 Å; angles 90.00, 90.00, 90.00 degrees
Space group Cmce (No. 64)
Asymmetric unit:
Sm (0.000, 0.000, 0.000)
Sm (0.122, 0.166, 0.334)
Ag (0.211, 0.000, 0.000)
Ru (0.000, 0.137, 0.638)

Principal peaks in the range 10° ≤ 2θ ≤ 90°, low angle first:
h k l	two_theta	d (Å)	I (rel.)
2 0 0	11.43	7.744	30
3 1 2	30.97	2.888	73
4 0 2	32.60	2.747	87
4 2 0	32.77	2.733	43
5 1 1	33.21	2.698	45
4 2 1	34.78	2.579	100
1 1 3	36.91	2.436	63
1 3 1	37.27	2.413	61
5 1 2	38.91	2.315	47
9 1 3	66.25	1.411	32

# Cu7PdAu3
Theoretical PXRD pattern, Cu Ka. Input: a DFT-relaxed cell (GGA-PBE, Alexandria).
Kinematic intensities with the Lorentz-polarization factor, no thermal factor.

Structure:
Cell lengths 2.749, 19.954, 12.117 Å; angles 90.00, 90.00, 90.00 degrees
Space group Cmcm (No. 63)
Asymmetric unit:
Cu (0.000, 0.032, 0.084)
Cu (0.000, 0.093, 0.603)
Cu (0.000, 0.105, 0.250)
Cu (0.000, 0.221, 0.579)
Pd (0.000, 0.481, 0.250)
Au (0.000, 0.329, 0.250)
Au (0.000, 0.352, 0.573)

Principal peaks in the range 10° ≤ 2θ ≤ 90°, low angle first:
h k l	two_theta	d (Å)	I (rel.)
0 4 0	17.78	4.989	23
0 2 3	23.77	3.744	48
1 3 0	35.33	2.540	26
1 1 3	39.93	2.258	93
0 8 3	42.61	2.122	100
0 0 6	44.88	2.019	40
1 7 0	45.86	1.979	31
1 5 3	45.96	1.975	30
1 9 0	53.06	1.726	19
2 8 3	83.87	1.154	22